[1]
Diffraction record for Pu3InPt8. The PXRD pattern is calculated, not measured: it uses a crystal structure in Alexandria, relaxed with PBE and Cu Kα.
Kinematic intensities with the Lorentz-polarization factor, no thermal factor.

Most intense lines, 2θ = 10–90°, most intense first:
38.9 deg, intensity 100
40.7 deg, intensity 38
62.8 deg, intensity 31
33.0 deg, intensity 29
69.1 deg, intensity 14
69.2 deg, intensity 14
83.4 deg, intensity 11
82.2 deg, intensity 9

Crystal structure
abc: 9.4003 9.4003 9.4003
angles: 33.63 33.63 33.63
Positions (direct):
Pu  0.0000  0.0000  0.0000
Pu  0.1261  0.1261  0.1261
Pu  0.5039  0.5039  0.5039
In  0.6292  0.6292  0.6292
Pt  0.0648  0.0648  0.5629
Pt  0.0648  0.5629  0.0648
Pt  0.0650  0.5645  0.5645
Pt  0.3143  0.3143  0.3143
Pt  0.5629  0.0648  0.0648
Pt  0.5645  0.0650  0.5645
Pt  0.5645  0.5645  0.0650
Pt  0.8145  0.8145  0.8145

[2]
Diffraction record for NdSmGaAg. The PXRD pattern is calculated, not measured: it uses a crystal structure in Alexandria, relaxed with PBE and Cu Kα.
Kinematic intensities with the Lorentz-polarization factor, no thermal factor.

Most intense lines, 2θ = 10–90°, most intense first:
34.1 deg, intensity 100
61.1 deg, intensity 36
49.1 deg, intensity 18
82.1 deg, intensity 16
71.9 deg, intensity 11
24.0 deg, intensity 6
55.3 deg, intensity 3
42.1 deg, intensity 2

Crystal structure
abc: 7.4278 7.4278 7.4278
angles: 90.00 90.00 90.00
Positions (direct):
Nd  0.0000  0.0000  0.0000
Nd  0.0000  0.5000  0.5000
Nd  0.5000  0.0000  0.5000
Nd  0.5000  0.5000  0.0000
Sm  0.0000  0.0000  0.5000
Sm  0.0000  0.5000  0.0000
Sm  0.5000  0.0000  0.0000
Sm  0.5000  0.5000  0.5000
Ga  0.2500  0.2500  0.2500
Ga  0.2500  0.7500  0.7500
Ga  0.7500  0.2500  0.7500
Ga  0.7500  0.7500  0.2500
Ag  0.2500  0.2500  0.7500
Ag  0.2500  0.7500  0.2500
Ag  0.7500  0.2500  0.2500
Ag  0.7500  0.7500  0.7500